For ZrBrO, a structure optimized by DFT (GGA-PBE) gives the computed powder X-ray diffraction pattern in this record (Cu Kα X-rays).

Top 12 peaks for 10 to 80 degrees two-theta, low angle first:
hkl 0 0 6, 18.4°, I 8.7; hkl 1 0 4, 30.1°, I 100.0; hkl 0 1 8, 37.2°, I 39.1; hkl 0 0 12, 37.3°, I 12.7; hkl 1 0 10, 41.8°, I 12.9; hkl 0 1 11, 44.3°, I 7.9; hkl 1 1 0, 48.5°, I 34.8; hkl 0 1 14, 52.5°, I 5.9; hkl 0 2 4, 58.2°, I 14.9; hkl 2 0 8, 62.7°, I 23.9; hkl 1 1 15, 69.9°, I 9.4; hkl 2 1 4, 79.0°, I 12.2

Cell and atoms:
```
data_ZrBrO
_symmetry_space_group_name_H-M 'R -3 m'
_symmetry_Int_Tables_number 166
_symmetry_space_group_name_Hall '-R 3 2"'
_cell_length_a 3.7549
_cell_length_b 3.7549
_cell_length_c 28.9278
_cell_angle_alpha 90.00
_cell_angle_beta 90.00
_cell_angle_gamma 120.00
loop_
_atom_site_label
_atom_site_fract_x
_atom_site_fract_y
_atom_site_fract_z
Zr1 0.0000 0.0000 0.1236
Br1 0.0000 0.0000 0.3909
O1 0.0000 0.0000 0.1995
```

For Cd5TeS4, a structure optimized by DFT (GGA-PBE) gives the computed powder X-ray diffraction pattern in this record (Cu Kα X-rays).

Top 12 peaks for 10 to 80 degrees two-theta, low angle first:
hkl 1 1 0, 23.9°, I 92.9; hkl 0 0 10, 25.4°, I 44.3; hkl 2 0 5, 27.1°, I 100.0; hkl 1 1 -10, 35.2°, I 35.1; hkl 3 1 0, 42.0°, I 51.8; hkl 0 2 0, 42.1°, I 25.7; hkl 2 0 -15, 45.8°, I 46.6; hkl 2 0 16, 48.2°, I 9.7; hkl 3 1 10, 49.7°, I 26.8; hkl 0 2 10, 49.8°, I 13.3; hkl 2 2 5, 50.8°, I 11.6; hkl 2 2 -15, 64.0°, I 11.0

Cell and atoms:
```
data_Cd5TeS4
_symmetry_space_group_name_H-M 'C 1 m 1'
_symmetry_Int_Tables_number 8
_cell_length_a 7.4519
_cell_length_b 4.2891
_cell_length_c 35.0826
_cell_angle_alpha 90.00
_cell_angle_beta 90.04
_cell_angle_gamma 90.00
loop_
_symmetry_equiv_pos_as_xyz
'x,y,z'
'x,-y,z'
'x+1/2,y+1/2,z'
'x+1/2,-y+1/2,z'
loop_
_atom_site_label
_atom_site_fract_x
_atom_site_fract_y
_atom_site_fract_z
Cd1 0.0000 0.0000 0.0000
Cd2 0.0001 0.0000 0.1897
Cd3 0.0002 0.0000 0.3840
Cd4 0.0002 0.0000 0.5757
Cd5 0.1672 0.5000 0.0942
Cd6 0.1672 0.5000 0.2863
Cd7 0.1671 0.5000 0.4805
Cd8 0.1672 0.5000 0.6703
Cd9 0.1672 0.5000 0.8830
Cd10 0.4992 0.5000 0.7881
Te1 0.1673 0.5000 0.7522
Te2 0.1674 0.5000 0.9643
S1 0.0000 0.0000 0.0724
S2 0.0000 0.0000 0.2633
S3 0.9999 0.0000 0.4581
S4 0.0001 0.0000 0.6492
S5 0.0001 0.0000 0.8608
S6 0.1671 0.5000 0.1673
S7 0.1671 0.5000 0.3606
S8 0.1672 0.5000 0.5542
```

For SiO2, a structure optimized by DFT (GGA-PBE) gives the computed powder X-ray diffraction pattern in this record (Cu Kα X-rays).

Top 12 peaks for 10 to 80 degrees two-theta, low angle first:
hkl 1 1 0, 19.6°, I 20.5; hkl 2 0 0, 20.9°, I 10.6; hkl 1 1 -1, 21.3°, I 11.2; hkl 2 0 -1, 21.9°, I 9.9; hkl 1 1 1, 22.7°, I 100.0; hkl 2 0 -2, 26.9°, I 28.5; hkl 1 1 -2, 27.0°, I 19.0; hkl 1 1 2, 29.2°, I 53.4; hkl 2 0 2, 31.2°, I 8.9; hkl 3 1 -1, 36.0°, I 17.2; hkl 1 1 3, 37.5°, I 14.0; hkl 2 0 3, 39.5°, I 8.9

Cell and atoms:
```
data_SiO2
_symmetry_space_group_name_H-M 'C 1 2 1'
_symmetry_Int_Tables_number 5
_cell_length_a 8.5763
_cell_length_b 5.3552
_cell_length_c 8.9822
_cell_angle_alpha 90.00
_cell_angle_beta 98.29
_cell_angle_gamma 90.00
loop_
_symmetry_equiv_pos_as_xyz
'x,y,z'
'-x,y,-z'
'x+1/2,y+1/2,z'
'-x+1/2,y+1/2,-z'
loop_
_atom_site_label
_atom_site_fract_x
_atom_site_fract_y
_atom_site_fract_z
Si1 0.0000 0.0000 0.0000
Si2 0.2298 0.6047 0.1650
O1 0.0990 0.8176 0.1248
O2 0.1212 0.1756 0.9213
O3 0.2113 0.3660 0.2537
```

For KSn2Au4, a structure optimized by DFT (GGA-PBE) gives the computed powder X-ray diffraction pattern in this record (Cu Kα X-rays).

Top 12 peaks for 10 to 80 degrees two-theta, low angle first:
hkl 1 1 0, 13.8°, I 48.4; hkl 2 0 0, 19.6°, I 15.1; hkl 2 1 1, 24.4°, I 8.1; hkl 3 1 0, 31.2°, I 54.5; hkl 2 1 3, 39.0°, I 100.0; hkl 4 0 0, 39.8°, I 24.3; hkl 3 3 0, 42.4°, I 24.2; hkl 3 2 3, 48.6°, I 8.8; hkl 4 1 3, 52.9°, I 14.5; hkl 6 0 0, 61.4°, I 7.4; hkl 5 2 3, 64.6°, I 34.9; hkl 5 4 3, 75.2°, I 7.9

Cell and atoms:
```
data_KSn2Au4
_symmetry_space_group_name_H-M 'I -4 c 2'
_symmetry_Int_Tables_number 120
_symmetry_space_group_name_Hall 'I -4 -2c'
_cell_length_a 9.0544
_cell_length_b 9.0544
_cell_length_c 8.4336
_cell_angle_alpha 90.00
_cell_angle_beta 90.00
_cell_angle_gamma 90.00
loop_
_atom_site_label
_atom_site_fract_x
_atom_site_fract_y
_atom_site_fract_z
K1 0.0000 0.0000 0.2500
Sn1 0.1424 0.3576 0.0000
Au1 0.1462 0.3443 0.3344
```

Q: Which formula does entry 2 have?
A: Cd5TeS4